[1]
Theoretical powder X-ray diffraction pattern of LiLa3Th3Se8 for Cu Kα, from the GGA-PBE geometry in Alexandria.
Peak positions follow from Bragg's law for the DFT cell and can differ from measured ones.

Cell and atoms:
```
data_LiLa3Th3Se8
_cell_length_a 8.4128
_cell_length_b 8.4128
_cell_length_c 20.9273
_cell_angle_alpha 90.00
_cell_angle_beta 90.00
_cell_angle_gamma 120.00
_symmetry_space_group_name_H-M 'R -3 m'
_symmetry_Int_Tables_number 166
_symmetry_space_group_name_Hall '-R 3 2"'
loop_
_atom_site_label
_atom_site_type_symbol
_atom_site_fract_x
_atom_site_fract_y
_atom_site_fract_z
_atom_site_occupancy
Li1 Li 0.0000 0.0000 0.0000 1
La1 La 0.0000 0.5000 0.5000 1
Th1 Th 0.0000 0.5000 0.0000 1
Se1 Se 0.0000 0.0000 0.2512 1
Se2 Se 0.0049 0.5025 0.7459 1
```

The 10 most intense peaks (2θ = 5–70°), sorted by position:
2theta	intensity	(hkl)
12.7	71	0 0 3
14.8	221	0 1 2
20.9	101	1 0 4
21.1	99	1 1 0
25.9	93	2 0 2
29.9	1000	0 2 4
42.5	379	2 0 8
43.0	372	2 2 0
53.3	198	4 0 4
62.1	124	0 4 8


[2]
Theoretical powder X-ray diffraction pattern of Li3La2USe6 for Cu Kα, from the GGA-PBE geometry in Alexandria.
Peak positions follow from Bragg's law for the DFT cell and can differ from measured ones.

Cell and atoms:
```
data_Li3La2USe6
_cell_length_a 7.3443
_cell_length_b 12.7323
_cell_length_c 6.9385
_cell_angle_alpha 90.00
_cell_angle_beta 110.56
_cell_angle_gamma 90.00
_symmetry_space_group_name_H-M 'C 1 2/m 1'
_symmetry_Int_Tables_number 12
loop_
_symmetry_equiv_pos_as_xyz
'x,y,z'
'-x,-y,-z'
'-x,y,-z'
'x,-y,z'
'x+1/2,y+1/2,z'
'-x+1/2,-y+1/2,-z'
'-x+1/2,y+1/2,-z'
'x+1/2,-y+1/2,z'
loop_
_atom_site_label
_atom_site_type_symbol
_atom_site_fract_x
_atom_site_fract_y
_atom_site_fract_z
_atom_site_occupancy
Li1 Li 0.0000 0.0000 0.0000 1
Li2 Li 0.0000 0.3400 0.0000 1
La1 La 0.0000 0.1675 0.5000 1
U1 U 0.0000 0.5000 0.5000 1
Se1 Se 0.2380 0.5000 0.2425 1
Se2 Se 0.2484 0.3388 0.7618 1
```

The 10 most intense peaks (2θ = 5–70°), sorted by position:
2theta	intensity	(hkl)
13.6	456	0 0 1
24.7	423	2 0 -1
30.5	1000	1 3 1
33.5	228	1 3 -2
40.7	80	1 3 2
42.6	396	3 3 -1
44.6	345	2 0 2
45.0	146	3 3 0
53.3	204	4 0 0
61.2	94	3 3 -4


[3]
Theoretical powder X-ray diffraction pattern of LiLaY2Se4 for Cu Kα, from the GGA-PBE geometry in Alexandria.
Peak positions follow from Bragg's law for the DFT cell and can differ from measured ones.

Cell and atoms:
```
data_LiLaY2Se4
_cell_length_a 7.1222
_cell_length_b 4.1193
_cell_length_c 7.2368
_cell_angle_alpha 90.00
_cell_angle_beta 109.19
_cell_angle_gamma 90.00
_symmetry_space_group_name_H-M 'P 1 2/m 1'
_symmetry_Int_Tables_number 10
loop_
_symmetry_equiv_pos_as_xyz
'x,y,z'
'-x,-y,-z'
'-x,y,-z'
'x,-y,z'
loop_
_atom_site_label
_atom_site_type_symbol
_atom_site_fract_x
_atom_site_fract_y
_atom_site_fract_z
_atom_site_occupancy
Li1 Li 0.0000 0.0000 0.0000 1
La1 La 0.5000 0.5000 0.0000 1
Y1 Y 0.0000 0.5000 0.5000 1
Y2 Y 0.5000 0.0000 0.5000 1
Se1 Se 0.2363 0.0000 0.7419 1
Se2 Se 0.2429 0.5000 0.2535 1
```

The 10 most intense peaks (2θ = 5–70°), sorted by position:
2theta	intensity	(hkl)
13.2	71	1 0 0
15.1	75	1 0 -1
25.2	49	0 1 1
30.5	1000	1 1 1
33.5	36	2 1 -1
43.5	371	1 1 -3
44.0	358	0 2 0
53.6	66	0 0 4
54.5	187	2 2 -2
63.6	116	2 2 2


[4]
Theoretical powder X-ray diffraction pattern of LiLaSi2 for Cu Kα, from the GGA-PBE geometry in Alexandria.
Peak positions follow from Bragg's law for the DFT cell and can differ from measured ones.

Cell and atoms:
```
data_LiLaSi2
_cell_length_a 7.8162
_cell_length_b 3.9158
_cell_length_c 10.7718
_cell_angle_alpha 90.00
_cell_angle_beta 90.00
_cell_angle_gamma 90.00
_symmetry_space_group_name_H-M 'P n m a'
_symmetry_Int_Tables_number 62
loop_
_symmetry_equiv_pos_as_xyz
'x,y,z'
'-x,-y,-z'
'-x+1/2,-y,z+1/2'
'x+1/2,y,-z+1/2'
'x+1/2,-y+1/2,-z+1/2'
'-x+1/2,y+1/2,z+1/2'
'-x,y+1/2,-z'
'x,-y+1/2,z'
loop_
_atom_site_label
_atom_site_type_symbol
_atom_site_fract_x
_atom_site_fract_y
_atom_site_fract_z
_atom_site_occupancy
Li1 Li 0.0028 0.2500 0.1105 1
La1 La 0.1387 0.7500 0.3665 1
Si1 Si 0.1664 0.7500 0.6774 1
Si2 Si 0.2248 0.7500 0.0735 1
```

The 10 most intense peaks (2θ = 5–70°), sorted by position:
2theta	intensity	(hkl)
14.0	834	1 0 1
20.0	396	1 0 2
24.2	1000	0 1 1
27.3	380	1 0 3
30.5	484	1 1 2
32.4	980	2 1 0
33.3	377	0 0 4
33.9	628	0 1 3
35.8	686	1 1 3
47.1	473	2 1 4


[5]
Theoretical powder X-ray diffraction pattern of Li7La3Si4 for Cu Kα, from the GGA-PBE geometry in Alexandria.
Peak positions follow from Bragg's law for the DFT cell and can differ from measured ones.

Cell and atoms:
```
data_Li7La3Si4
_cell_length_a 16.7252
_cell_length_b 4.6121
_cell_length_c 8.4493
_cell_angle_alpha 90.00
_cell_angle_beta 120.19
_cell_angle_gamma 90.00
_symmetry_space_group_name_H-M 'C 1 2/m 1'
_symmetry_Int_Tables_number 12
loop_
_symmetry_equiv_pos_as_xyz
'x,y,z'
'-x,-y,-z'
'-x,y,-z'
'x,-y,z'
'x+1/2,y+1/2,z'
'-x+1/2,-y+1/2,-z'
'-x+1/2,y+1/2,-z'
'x+1/2,-y+1/2,z'
loop_
_atom_site_label
_atom_site_type_symbol
_atom_site_fract_x
_atom_site_fract_y
_atom_site_fract_z
_atom_site_occupancy
Li1 Li 0.0000 0.0000 0.0000 1
Li2 Li 0.0149 0.5000 0.2067 1
Li3 Li 0.1468 0.0000 0.9525 1
Li4 Li 0.1679 0.5000 0.5121 1
La1 La 0.0000 0.0000 0.5000 1
La2 La 0.2290 0.5000 0.2242 1
Si1 Si 0.1334 0.0000 0.3227 1
Si2 Si 0.1393 0.5000 0.7863 1
```

The 10 most intense peaks (2θ = 5–70°), sorted by position:
2theta	intensity	(hkl)
12.1	295	2 0 -1
21.0	477	2 0 -2
21.2	397	2 0 1
22.0	891	1 1 -1
26.8	277	3 1 0
32.6	536	2 0 2
33.2	1000	5 1 -1
34.3	386	1 1 2
37.4	525	3 1 -3
51.8	286	2 2 2


[6]
Theoretical powder X-ray diffraction pattern of LiLaSi for Cu Kα, from the GGA-PBE geometry in Alexandria.
Peak positions follow from Bragg's law for the DFT cell and can differ from measured ones.

Cell and atoms:
```
data_LiLaSi
_cell_length_a 4.4366
_cell_length_b 4.4366
_cell_length_c 14.1730
_cell_angle_alpha 90.00
_cell_angle_beta 90.00
_cell_angle_gamma 90.00
_symmetry_space_group_name_H-M 'I -4 m 2'
_symmetry_Int_Tables_number 119
_symmetry_space_group_name_Hall 'I -4 -2'
loop_
_atom_site_label
_atom_site_type_symbol
_atom_site_fract_x
_atom_site_fract_y
_atom_site_fract_z
_atom_site_occupancy
Li1 Li 0.0000 0.0000 0.0889 1
La1 La 0.0000 0.0000 0.5000 1
La2 La 0.0000 0.5000 0.2500 1
Si1 Si 0.0000 0.5000 0.6651 1
```

The 10 most intense peaks (2θ = 5–70°), sorted by position:
2theta	intensity	(hkl)
21.0	672	1 0 1
25.1	256	0 0 4
27.6	560	1 0 3
31.2	1000	1 1 2
37.7	362	1 0 5
40.7	299	2 0 0
48.4	176	2 0 4
49.8	219	2 1 3
56.6	219	2 1 5
68.1	207	3 1 2


[7]
Theoretical powder X-ray diffraction pattern of SrLi2La2Si2 for Cu Kα, from the GGA-PBE geometry in Alexandria.
Peak positions follow from Bragg's law for the DFT cell and can differ from measured ones.

Cell and atoms:
```
data_SrLi2La2Si2
_cell_length_a 4.6579
_cell_length_b 4.6579
_cell_length_c 28.3186
_cell_angle_alpha 90.00
_cell_angle_beta 90.00
_cell_angle_gamma 120.00
_symmetry_space_group_name_H-M 'R -3 m'
_symmetry_Int_Tables_number 166
_symmetry_space_group_name_Hall '-R 3 2"'
loop_
_atom_site_label
_atom_site_type_symbol
_atom_site_fract_x
_atom_site_fract_y
_atom_site_fract_z
_atom_site_occupancy
Sr1 Sr 0.0000 0.0000 0.0000 1
Li1 Li 0.0000 0.0000 0.4095 1
La1 La 0.0000 0.0000 0.1335 1
Si1 Si 0.0000 0.0000 0.2542 1
```

The 10 most intense peaks (2θ = 5–70°), sorted by position:
2theta	intensity	(hkl)
9.4	528	0 0 3
22.3	1000	1 0 1
31.3	791	1 0 7
33.7	787	0 1 8
38.7	645	1 1 0
50.5	283	0 2 7
52.2	223	2 0 8
63.4	246	1 1 15
65.4	223	2 1 7
66.8	211	1 2 8


[8]
Theoretical powder X-ray diffraction pattern of Li2LaTb2Si2 for Cu Kα, from the GGA-PBE geometry in Alexandria.
Peak positions follow from Bragg's law for the DFT cell and can differ from measured ones.

Cell and atoms:
```
data_Li2LaTb2Si2
_cell_length_a 4.5334
_cell_length_b 4.5334
_cell_length_c 26.9546
_cell_angle_alpha 90.00
_cell_angle_beta 90.00
_cell_angle_gamma 120.00
_symmetry_space_group_name_H-M 'R -3 m'
_symmetry_Int_Tables_number 166
_symmetry_space_group_name_Hall '-R 3 2"'
loop_
_atom_site_label
_atom_site_type_symbol
_atom_site_fract_x
_atom_site_fract_y
_atom_site_fract_z
_atom_site_occupancy
Li1 Li 0.0000 0.0000 0.0907 1
La1 La 0.0000 0.0000 0.5000 1
Tb1 Tb 0.0000 0.0000 0.3707 1
Si1 Si 0.0000 0.0000 0.2432 1
```

The 10 most intense peaks (2θ = 5–70°), sorted by position:
2theta	intensity	(hkl)
9.8	157	0 0 3
22.9	1000	1 0 1
32.6	620	1 0 7
35.1	707	0 1 8
39.8	546	1 1 0
50.5	154	1 1 9
52.3	163	0 2 7
54.1	204	2 0 8
66.4	197	1 1 15
69.2	195	1 2 8


[9]
Theoretical powder X-ray diffraction pattern of Li2La2Sn5 for Cu Kα, from the GGA-PBE geometry in Alexandria.
Peak positions follow from Bragg's law for the DFT cell and can differ from measured ones.

Cell and atoms:
```
data_Li2La2Sn5
_cell_length_a 4.7703
_cell_length_b 4.7703
_cell_length_c 10.0869
_cell_angle_alpha 90.00
_cell_angle_beta 90.00
_cell_angle_gamma 90.00
_symmetry_space_group_name_H-M 'P 4/m m m'
_symmetry_Int_Tables_number 123
_symmetry_space_group_name_Hall '-P 4 2'
loop_
_atom_site_label
_atom_site_type_symbol
_atom_site_fract_x
_atom_site_fract_y
_atom_site_fract_z
_atom_site_occupancy
Li1 Li 0.0000 0.0000 0.1211 1
La1 La 0.5000 0.5000 0.0000 1
La2 La 0.5000 0.5000 0.5000 1
Sn1 Sn 0.0000 0.0000 0.5000 1
Sn2 Sn 0.0000 0.5000 0.2531 1
```

The 10 most intense peaks (2θ = 5–70°), sorted by position:
2theta	intensity	(hkl)
8.8	91	0 0 1
25.7	52	1 0 2
31.9	1000	1 1 2
35.6	182	0 0 4
37.7	348	2 0 0
52.8	242	2 0 4
54.4	116	2 2 0
61.6	155	1 1 6
64.5	275	3 1 2
66.7	121	2 2 4


[10]
Theoretical powder X-ray diffraction pattern of LiLa2Sn3 for Cu Kα, from the GGA-PBE geometry in Alexandria.
Peak positions follow from Bragg's law for the DFT cell and can differ from measured ones.

Cell and atoms:
```
data_LiLa2Sn3
_cell_length_a 4.3997
_cell_length_b 4.7777
_cell_length_c 8.0800
_cell_angle_alpha 90.00
_cell_angle_beta 90.00
_cell_angle_gamma 90.00
_symmetry_space_group_name_H-M 'P m m 2'
_symmetry_Int_Tables_number 25
loop_
_symmetry_equiv_pos_as_xyz
'x,y,z'
'-x,-y,z'
'-x,y,z'
'x,-y,z'
loop_
_atom_site_label
_atom_site_type_symbol
_atom_site_fract_x
_atom_site_fract_y
_atom_site_fract_z
_atom_site_occupancy
Li1 Li 0.0000 0.0000 0.0000 1
La1 La 0.5000 0.0000 0.6687 1
La2 La 0.5000 0.5000 0.1886 1
Sn1 Sn 0.0000 0.0000 0.3234 1
Sn2 Sn 0.0000 0.5000 0.5208 1
Sn3 Sn 0.0000 0.5000 0.8697 1
```

The 10 most intense peaks (2θ = 5–70°), sorted by position:
2theta	intensity	(hkl)
29.7	1000	1 1 1
30.0	446	1 0 2
35.5	120	1 1 2
37.7	249	0 2 0
38.4	431	0 1 3
41.0	196	2 0 0
48.9	238	1 2 2
56.9	160	2 2 0
57.4	270	2 1 3
63.1	119	1 3 1


[11]
Theoretical powder X-ray diffraction pattern of LiLa2Sn8 for Cu Kα, from the GGA-PBE geometry in Alexandria.
Peak positions follow from Bragg's law for the DFT cell and can differ from measured ones.

Cell and atoms:
```
data_LiLa2Sn8
_cell_length_a 4.7888
_cell_length_b 4.7888
_cell_length_c 12.8819
_cell_angle_alpha 90.00
_cell_angle_beta 90.00
_cell_angle_gamma 90.00
_symmetry_space_group_name_H-M 'P 4/m m m'
_symmetry_Int_Tables_number 123
_symmetry_space_group_name_Hall '-P 4 2'
loop_
_atom_site_label
_atom_site_type_symbol
_atom_site_fract_x
_atom_site_fract_y
_atom_site_fract_z
_atom_site_occupancy
Li1 Li 0.0000 0.0000 0.0000 1
La1 La 0.0000 0.0000 0.3110 1
Sn1 Sn 0.0000 0.5000 0.1228 1
Sn2 Sn 0.0000 0.5000 0.5000 1
Sn3 Sn 0.5000 0.5000 0.3117 1
```

The 10 most intense peaks (2θ = 5–70°), sorted by position:
2theta	intensity	(hkl)
27.2	136	1 1 1
29.8	483	1 1 2
33.7	1000	1 1 3
34.8	247	0 0 5
37.6	531	2 0 0
52.1	319	2 0 5
54.2	188	2 2 0
64.0	226	1 1 8
65.3	306	3 1 3
66.0	160	2 2 5


[12]
Theoretical powder X-ray diffraction pattern of LiLaSn for Cu Kα, from the GGA-PBE geometry in Alexandria.
Peak positions follow from Bragg's law for the DFT cell and can differ from measured ones.

Cell and atoms:
```
data_LiLaSn
_cell_length_a 4.8319
_cell_length_b 4.8319
_cell_length_c 7.9918
_cell_angle_alpha 90.00
_cell_angle_beta 90.00
_cell_angle_gamma 120.00
_symmetry_space_group_name_H-M 'P 63/m m c'
_symmetry_Int_Tables_number 194
_symmetry_space_group_name_Hall '-P 6c 2c'
loop_
_atom_site_label
_atom_site_type_symbol
_atom_site_fract_x
_atom_site_fract_y
_atom_site_fract_z
_atom_site_occupancy
Li1 Li 0.3333 0.6667 0.2500 1
La1 La 0.0000 0.0000 0.0000 1
Sn1 Sn 0.3333 0.6667 0.7500 1
```

The 10 most intense peaks (2θ = 5–70°), sorted by position:
2theta	intensity	(hkl)
21.2	176	1 0 0
24.0	474	1 0 1
30.9	1000	1 0 2
37.2	530	1 1 0
40.1	127	1 0 3
45.4	101	0 0 4
49.2	277	2 0 2
60.1	266	1 1 4
63.2	261	2 1 2
67.1	96	3 0 0


What is the formula in the sixth record?
LiLaSi